1.
CeMg: computed powder X-ray diffraction pattern (Cu Ka), based on the GGA-PBE geometry in the Materials Project.
Neutral-atom scattering factors, no anomalous dispersion.

Cell and atoms:
Unit cell a=12.533 b=3.142 c=8.000 alpha=90.00 beta=103.05 gamma=90.00
Space group Cm (No. 8)
Symmetry-distinct sites (fractional):
Ce  0.000  0.000  0.000 [2 per cell]
Ce  0.126  0.500  0.772 [2 per cell]
Ce  0.329  0.000  0.727 [2 per cell]
Mg  0.170  0.500  0.369 [2 per cell]
Mg  0.283  0.000  0.118 [2 per cell]
Mg  0.448  0.500  0.415 [2 per cell]

Largest 8 diffraction maxima, most intense first, 10 to 80 degrees two-theta:
Position (°2θ)	intensity
11.35	100.0
36.41	50.1
36.11	41.8
32.94	27.9
29.86	17.1
33.87	16.1
44.55	14.1
32.17	14.0

2.
CeMg: computed powder X-ray diffraction pattern (Cu Ka), based on the GGA-PBE geometry in the Materials Project.
Neutral-atom scattering factors, no anomalous dispersion.

Cell and atoms:
Unit cell a=5.587 b=3.237 c=17.378 alpha=90.00 beta=90.00 gamma=90.00
Space group Amm2 (No. 38)
Symmetry-distinct sites (fractional):
Ce  0.000  0.000  0.000 [2 per cell]
Ce  0.000  0.000  0.356 [2 per cell]
Ce  0.500  0.000  0.552 [2 per cell]
Mg  0.000  0.000  0.676 [2 per cell]
Mg  0.500  0.000  0.231 [2 per cell]
Mg  0.500  0.000  0.887 [2 per cell]

Largest 8 diffraction maxima, most intense first, 10 to 80 degrees two-theta:
Position (°2θ)	intensity
35.60	100.0
10.18	79.9
32.04	40.1
18.88	38.7
34.89	30.6
32.37	23.9
59.44	23.1
30.87	19.7

3.
CeMg: computed powder X-ray diffraction pattern (Cu Ka), based on the GGA-PBE geometry in the Materials Project.
Neutral-atom scattering factors, no anomalous dispersion.

Cell and atoms:
Unit cell a=10.279 b=5.883 c=6.647 alpha=90.00 beta=124.22 gamma=90.00
Space group C2 (No. 5)
Symmetry-distinct sites (fractional):
Ce  0.000  0.000  0.000 [2 per cell]
Ce  0.166  0.666  0.496 [4 per cell]
Mg  0.000  0.168  0.500 [2 per cell]
Mg  0.170  0.494  0.998 [4 per cell]

Largest 8 diffraction maxima, most intense first, 10 to 80 degrees two-theta:
Position (°2θ)	intensity
33.71	100.0
34.59	94.2
35.16	89.3
20.20	72.2
32.58	72.0
17.81	67.3
30.22	51.4
53.89	35.9

4.
CeMg: computed powder X-ray diffraction pattern (Cu Ka), based on the GGA-PBE geometry in the Materials Project.
Neutral-atom scattering factors, no anomalous dispersion.

Cell and atoms:
Unit cell a=3.102 b=5.134 c=6.263 alpha=90.00 beta=90.00 gamma=90.00
Space group Pmmn (No. 59, origin choice 2)
Symmetry-distinct sites (fractional):
Ce  0.250  0.250  0.061 [2 per cell]
Mg  0.250  0.750  0.421 [2 per cell]

Largest 8 diffraction maxima, most intense first, 10 to 80 degrees two-theta:
Position (°2θ)	intensity
14.14	100.0
36.76	80.5
33.52	31.7
33.76	28.4
34.95	27.4
28.50	22.4
37.88	18.3
63.87	15.8

5.
Ce2Mg: computed powder X-ray diffraction pattern (Cu Ka), based on the GGA-PBE geometry in the Materials Project.
Neutral-atom scattering factors, no anomalous dispersion.

Cell and atoms:
Unit cell a=3.239 b=17.741 c=5.665 alpha=90.00 beta=90.00 gamma=90.00
Space group Cmcm (No. 63)
Symmetry-distinct sites (fractional):
Ce  0.000  0.065  0.250 [4 per cell]
Ce  0.000  0.277  0.750 [4 per cell]
Mg  0.000  0.387  0.250 [4 per cell]

Largest 8 diffraction maxima, most intense first, 10 to 80 degrees two-theta:
Position (°2θ)	intensity
35.35	100.0
31.56	56.5
18.58	50.1
34.21	38.2
58.71	22.9
30.23	18.6
64.37	18.3
54.49	15.2

6.
Ce3Mg: computed powder X-ray diffraction pattern (Cu Ka), based on the GGA-PBE geometry in the Materials Project.
Neutral-atom scattering factors, no anomalous dispersion.

Cell and atoms:
Unit cell a=4.815 b=4.815 c=4.815 alpha=90.00 beta=90.00 gamma=90.00
Space group Pm-3m (No. 221)
Symmetry-distinct sites (fractional):
Ce  0.000  0.000  0.500 [3 per cell]
Mg  0.500  0.500  0.500 [1 per cell]

Largest 8 diffraction maxima, most intense first, 10 to 80 degrees two-theta:
Position (°2θ)	intensity
32.20	100.0
37.35	50.1
64.15	40.8
53.86	34.7
18.43	19.2
26.18	16.7
67.38	11.7
41.96	9.5

7.
Ce3Mg: computed powder X-ray diffraction pattern (Cu Ka), based on the GGA-PBE geometry in the Materials Project.
Neutral-atom scattering factors, no anomalous dispersion.

Cell and atoms:
Unit cell a=3.254 b=5.492 c=5.938 alpha=90.00 beta=90.00 gamma=90.00
Space group Pmm2 (No. 25)
Symmetry-distinct sites (fractional):
Ce  0.000  0.000  0.000 [1 per cell]
Ce  0.000  0.500  0.357 [1 per cell]
Ce  0.500  0.000  0.510 [1 per cell]
Mg  0.500  0.500  0.842 [1 per cell]

Largest 8 diffraction maxima, most intense first, 10 to 80 degrees two-theta:
Position (°2θ)	intensity
35.45	100.0
34.33	45.9
32.61	38.9
31.35	22.4
60.05	21.6
64.74	20.6
30.10	18.4
54.24	17.7

8.
Ce2Mg: computed powder X-ray diffraction pattern (Cu Ka), based on the GGA-PBE geometry in the Materials Project.
Neutral-atom scattering factors, no anomalous dispersion.

Cell and atoms:
Unit cell a=3.1227 b=3.1227 c=18.2401 alpha=90.00 beta=90.00 gamma=120.00
Space group P6_3/mmc (No. 194)
Symmetry-distinct sites (fractional):
Ce  0.3333  0.6667  0.0857 [4 per cell]
Mg  0.3333  0.6667  0.7500 [2 per cell]

Largest 8 diffraction maxima, most intense first, 10 to 80 degrees two-theta:
Position (°2θ)	intensity
36.36	100.0
29.38	39.1
56.76	27.0
33.13	21.5
67.43	21.5
19.47	18.8
33.50	18.5
44.86	18.3